Entry 1:
The following is a theoretical PXRD pattern of AlV2Ir3. It was derived from a cell relaxed with GGA-PBE, using CuKα.

Atomic structure:
Unit cell a=2.8084 b=2.8084 c=10.5797 alpha=90.00 beta=90.00 gamma=90.00
Space group P4/mmm (No. 123)
Asymmetric unit:
Al1 0.0000 0.0000 0.0000 (multiplicity 1)
V1 0.0000 0.0000 0.3282 (multiplicity 2)
Ir1 0.5000 0.5000 0.1611 (multiplicity 2)
Ir2 0.5000 0.5000 0.5000 (multiplicity 1)

Principal peaks in the range 2θ = 5–70°, by angle:
2θ (°), d_spacing, Rel. int., index
25.3, 3.527, 35, 0 0 3
31.9, 2.808, 40, 1 0 0
36.2, 2.481, 1, 1 0 2
41.1, 2.197, 100, 1 0 3
45.7, 1.986, 37, 1 1 0
51.9, 1.763, 12, 0 0 6
52.9, 1.730, 20, 1 1 3
62.2, 1.493, 12, 1 0 6
66.6, 1.404, 12, 2 0 0


Entry 2:
The following is a theoretical PXRD pattern of MgH2SeO5. It was derived from a cell relaxed with GGA-PBE, using CuKα.

Atomic structure:
Unit cell a=6.9951 b=8.2948 c=7.7598 alpha=90.00 beta=116.01 gamma=90.00
Space group C2/c (No. 15)
Asymmetric unit:
Mg1 0.2500 0.2500 0.0000 (multiplicity 4)
H1 0.0840 0.0520 0.7048 (multiplicity 8)
Se1 0.0000 0.4186 0.2500 (multiplicity 4)
O1 0.0000 0.1242 0.7500 (multiplicity 4)
O2 0.0170 0.3053 0.0813 (multiplicity 8)
O3 0.2188 0.4648 0.8472 (multiplicity 8)

Principal peaks in the range 2θ = 5–70°, by angle:
2θ (°), d_spacing, Rel. int., index
17.7, 5.010, 100, 1 1 0
25.0, 3.565, 62, 0 2 1
25.3, 3.527, 44, 1 1 1
25.5, 3.490, 71, 1 1 -2
28.4, 3.143, 17, 2 0 0
28.7, 3.109, 29, 2 0 -2
33.5, 2.671, 71, 2 2 -1
35.5, 2.527, 16, 1 3 -1
42.4, 2.133, 24, 2 2 1
52.4, 1.745, 13, 2 2 -4


Entry 3:
The following is a theoretical PXRD pattern of La2Rh3. It was derived from a cell relaxed with GGA-PBE, using CuKα.

Atomic structure:
Unit cell a=9.7355 b=16.2238 c=5.4721 alpha=90.00 beta=90.00 gamma=90.00
Space group Fdd2 (No. 43)
Asymmetric unit:
La1 0.0806 0.2975 0.0000 (multiplicity 16)
Rh1 0.0000 0.0000 0.2881 (multiplicity 8)
Rh2 0.0732 0.3752 0.5088 (multiplicity 16)

Principal peaks in the range 2θ = 5–70°, by angle:
2θ (°), d_spacing, Rel. int., index
28.6, 3.116, 44, 2 4 0
32.6, 2.751, 33, 3 1 1
33.4, 2.683, 100, 1 5 1
34.6, 2.593, 61, 0 2 2
36.2, 2.480, 92, 3 3 1
38.6, 2.331, 50, 4 2 0
39.4, 2.288, 72, 2 2 2
42.7, 2.116, 25, 3 5 1
43.4, 2.085, 52, 1 7 1
67.1, 1.396, 29, 6 0 2


Entry 4:
The following is a theoretical PXRD pattern of RbHg3S3. It was derived from a cell relaxed with GGA-PBE, using CuKα.

Atomic structure:
Unit cell a=7.7932 b=7.7932 c=24.7139 alpha=90.00 beta=90.00 gamma=120.00
Space group R-3 (No. 148, hexagonal axes)
Asymmetric unit:
Rb1 0.0000 0.0000 0.1669 (multiplicity 6)
Hg1 0.0080 0.6963 0.6124 (multiplicity 18)
S1 0.0066 0.6553 0.4023 (multiplicity 18)

Principal peaks in the range 2θ = 5–70°, by angle:
2θ (°), d_spacing, Rel. int., index
10.7, 8.238, 39, 0 0 3
22.8, 3.897, 23, 1 1 0
25.3, 3.522, 100, 1 1 3
31.6, 2.831, 73, 2 -1 6
32.6, 2.746, 28, 0 0 9
40.1, 2.249, 55, 3 0 0
48.0, 1.896, 16, 4 -2 3
51.9, 1.761, 16, 2 2 6
52.6, 1.740, 37, 3 0 9
61.1, 1.518, 16, 2 -1 15


Entry 5:
The following is a theoretical PXRD pattern of Pr4Nd9Mg11. It was derived from a cell relaxed with GGA-PBE, using CuKα.

Atomic structure:
Unit cell a=16.3067 b=23.5998 c=3.7627 alpha=90.00 beta=90.00 gamma=90.00
Space group Cmmm (No. 65)
Asymmetric unit:
Pr1 0.1579 0.0875 0.0000 (multiplicity 8)
Nd1 0.0000 0.0000 0.0000 (multiplicity 2)
Nd2 0.1155 0.4090 0.0000 (multiplicity 8)
Nd3 0.1167 0.2367 0.0000 (multiplicity 8)
Mg1 0.0000 0.1400 0.5000 (multiplicity 4)
Mg2 0.0000 0.3237 0.5000 (multiplicity 4)
Mg3 0.0000 0.5000 0.5000 (multiplicity 2)
Mg4 0.2245 0.5000 0.5000 (multiplicity 4)
Mg5 0.2327 0.3223 0.5000 (multiplicity 8)

Principal peaks in the range 2θ = 5–70°, by angle:
2θ (°), d_spacing, Rel. int., index
21.8, 4.077, 48, 4 0 0
22.6, 3.933, 55, 0 6 0
23.6, 3.763, 81, 0 0 1
31.6, 2.831, 100, 4 6 0
32.4, 2.765, 78, 4 0 1
32.9, 2.719, 85, 0 6 1
39.9, 2.262, 59, 4 6 1
56.9, 1.618, 23, 5 11 1
59.0, 1.567, 35, 4 6 2
60.0, 1.543, 24, 9 5 1


Entry 6:
The following is a theoretical PXRD pattern of La5Pm8Pr. It was derived from a cell relaxed with GGA-PBE, using CuKα.

Atomic structure:
Unit cell a=9.7816 b=9.7816 c=10.4937 alpha=90.00 beta=90.00 gamma=90.00
Space group I-4 (No. 82)
Asymmetric unit:
La1 0.0000 0.0000 0.0000 (multiplicity 2)
La2 0.1072 0.2147 0.5734 (multiplicity 8)
Pm1 0.0743 0.3239 0.8937 (multiplicity 8)
Pm2 0.0763 0.1806 0.2418 (multiplicity 8)
Pr1 0.0000 0.5000 0.2500 (multiplicity 2)

Principal peaks in the range 2θ = 5–70°, by angle:
2θ (°), d_spacing, Rel. int., index
27.1, 3.294, 63, 1 0 3
28.7, 3.114, 68, 3 0 1
28.9, 3.093, 82, 3 1 0
31.0, 2.888, 26, 2 2 2
32.8, 2.732, 100, 1 2 3
33.6, 2.665, 45, 3 1 2
34.1, 2.627, 52, 2 3 1
53.7, 1.707, 18, 5 0 3
54.6, 1.680, 21, 2 4 4
60.8, 1.522, 21, 3 1 6